(1)
K3Mo2Br9: theoretical X-ray powder pattern (Cu Kα (λ = 1.5418 Å)), based on a GGA-PBE-relaxed structure.

Lattice parameters (Å, degrees): 7.6184 7.6184 18.5597 90.00 90.00 120.00
Fractional positions:
K  0.0000  0.0000  0.2500
K  0.0000  0.0000  0.7500
K  0.3333  0.6667  0.0544
K  0.3333  0.6667  0.4456
K  0.6667  0.3333  0.5544
K  0.6667  0.3333  0.9456
Mo  0.3333  0.6667  0.6734
Mo  0.3333  0.6667  0.8266
Mo  0.6667  0.3333  0.1734
Mo  0.6667  0.3333  0.3266
Br  0.0045  0.5547  0.7500
Br  0.1214  0.3515  0.5934
Br  0.1214  0.3515  0.9066
Br  0.2300  0.8786  0.5934
Br  0.2300  0.8786  0.9066
Br  0.3515  0.2300  0.0934
Br  0.3515  0.2300  0.4066
Br  0.4453  0.4497  0.7500
Br  0.4497  0.0045  0.2500
Br  0.5503  0.9955  0.7500
Br  0.5547  0.5503  0.2500
Br  0.6485  0.7700  0.5934
Br  0.6485  0.7700  0.9066
Br  0.7700  0.1214  0.0934
Br  0.7700  0.1214  0.4066
Br  0.8786  0.6485  0.0934
Br  0.8786  0.6485  0.4066
Br  0.9955  0.4453  0.2500

Principal peaks in the range 2θ = 15–90°, low angle first:
(1 1 3), 27.50 deg, I 72.1; (2 0 2), 28.72 deg, I 58.8; (0 0 6), 28.86 deg, I 36.3; (2 0 3), 30.72 deg, I 100.0; (2 0 4), 33.33 deg, I 73.3; (2 1 1), 36.39 deg, I 49.2; (1 1 6), 37.45 deg, I 41.0; (3 0 0), 41.07 deg, I 21.0; (2 0 7), 43.81 deg, I 33.5; (2 2 0), 47.75 deg, I 40.2; (3 1 1), 50.09 deg, I 35.8; (1 4 3), 66.72 deg, I 25.2

(2)
TlCdI3: theoretical X-ray powder pattern (Cu Kα (λ = 1.5418 Å)), based on a GGA-PBE-relaxed structure.

Lattice parameters (Å, degrees): 10.3958 4.4974 16.6377 90.00 90.00 90.00
Fractional positions:
Tl  0.0474  0.2500  0.1753
Tl  0.4526  0.7500  0.6753
Tl  0.5474  0.2500  0.3247
Tl  0.9526  0.7500  0.8247
Cd  0.1678  0.7500  0.4460
Cd  0.3322  0.2500  0.9460
Cd  0.6678  0.7500  0.0540
Cd  0.8322  0.2500  0.5540
I  0.0187  0.7500  0.6053
I  0.1641  0.7500  0.0103
I  0.2102  0.2500  0.7879
I  0.2898  0.7500  0.2879
I  0.3359  0.2500  0.5103
I  0.4813  0.2500  0.1053
I  0.5187  0.7500  0.8947
I  0.6641  0.7500  0.4897
I  0.7102  0.2500  0.7121
I  0.7898  0.7500  0.2121
I  0.8359  0.2500  0.9897
I  0.9813  0.2500  0.3947

Principal peaks in the range 2θ = 15–90°, low angle first:
(2 1 1), 26.75 deg, I 100.0; (1 1 3), 26.93 deg, I 30.6; (2 0 4), 27.46 deg, I 31.9; (3 0 2), 27.89 deg, I 16.2; (1 0 5), 28.16 deg, I 44.9; (2 1 2), 28.35 deg, I 68.4; (1 1 4), 30.50 deg, I 19.7; (0 1 5), 33.49 deg, I 35.0; (3 1 4), 39.33 deg, I 30.5; (0 2 0), 40.09 deg, I 39.7; (1 1 7), 43.96 deg, I 17.3; (1 2 5), 49.72 deg, I 18.6

(3)
CeBi2Au: theoretical X-ray powder pattern (Cu Kα (λ = 1.5418 Å)), based on a GGA-PBE-relaxed structure.

Lattice parameters (Å, degrees): 4.7045 4.7045 9.9250 90.00 90.00 90.00
Fractional positions:
Ce  0.2500  0.2500  0.2312
Ce  0.7500  0.7500  0.7688
Bi  0.2500  0.2500  0.8030
Bi  0.2500  0.7500  0.5000
Bi  0.7500  0.2500  0.5000
Bi  0.7500  0.7500  0.1970
Au  0.2500  0.7500  0.0000
Au  0.7500  0.2500  0.0000

Principal peaks in the range 2θ = 15–90°, low angle first:
(1 1 2), 32.40 deg, I 100.0; (0 0 4), 36.20 deg, I 12.6; (2 0 0), 38.26 deg, I 36.7; (1 1 3), 38.37 deg, I 5.9; (0 0 5), 45.64 deg, I 5.9; (2 0 4), 53.71 deg, I 20.8; (2 2 0), 55.23 deg, I 12.9; (1 1 6), 62.73 deg, I 5.6; (3 1 2), 65.50 deg, I 27.3; (2 2 4), 67.83 deg, I 8.3; (4 0 0), 81.92 deg, I 6.0; (3 1 6), 88.36 deg, I 4.7